[1]
Structure and computed powder diffractogram of Li5Pu2Zn12 (a crystal structure in Alexandria, relaxed with GGA-PBE; Cu Ka).
Lines closer than 0.1° are merged.

Structure:
```
19
Lattice="4.5266 2.6135 4.3810 -4.5266 2.6135 4.3810 0.0000 -5.2269 4.3810" Properties=species:S:1:pos:R:3 pbc="T T T"
Li -4.5266 0.0000 6.5715
Li -2.2633 1.3067 2.1905
Li 0.0000 0.0000 1.2970
Li 2.2633 1.3067 2.1905
Li 0.0000 0.0000 11.8460
Pu 0.0000 0.0000 4.6157
Pu 0.0000 0.0000 8.5272
Zn -1.3406 -2.9049 4.3810
Zn -3.1860 0.2914 4.3810
Zn -2.2710 -1.3112 6.3679
Zn 1.3406 -2.9049 4.3810
Zn -1.8454 2.6135 4.3810
Zn 0.0000 -2.6224 6.7750
Zn -2.2710 1.3112 6.7750
Zn 2.2710 -1.3112 6.3679
Zn 0.0000 2.6224 6.3679
Zn 3.1860 0.2914 4.3810
Zn 1.8454 2.6135 4.3810
Zn 2.2710 1.3112 6.7750
```

Peak list (10 most intense, 15 to 90 degrees two-theta, by intensity)
2theta	I (rel.)
40.2	100.0
35.7	52.0
34.3	41.4
28.4	40.2
30.9	36.7
39.8	31.6
41.2	23.4
26.5	21.3
20.3	20.3
65.4	17.8


[2]
Structure and computed powder diffractogram of Rb2Li2SbS4 (a crystal structure in Alexandria, relaxed with GGA-PBE; Cu Ka).
Lines closer than 0.1° are merged.

Structure:
```
9
Lattice="7.4142 -2.0309 0.0000 7.4142 2.0309 0.0000 -2.6490 0.0000 7.2662" Properties=species:S:1:pos:R:3 pbc="T T T"
Rb 1.9155 0.0000 0.4008
Rb 10.2638 0.0000 6.8654
Li 3.3699 0.0000 3.6925
Li 8.8095 0.0000 3.5737
Sb -1.3245 0.0000 3.6331
S 1.0819 0.0000 4.8045
S 5.2405 0.0000 5.2419
S 6.9388 0.0000 2.0243
S 11.0975 0.0000 2.4617
```

Peak list (10 most intense, 15 to 90 degrees two-theta, by intensity)
2theta	I (rel.)
32.0	100.0
22.8	36.4
34.3	26.0
29.0	22.5
24.3	22.4
37.6	20.4
23.4	19.2
44.6	19.0
20.5	18.0
49.4	17.8


[3]
Structure and computed powder diffractogram of Rb2LiTaS4 (a crystal structure in Alexandria, relaxed with GGA-PBE; Cu Ka).
Lines closer than 0.1° are merged.

Structure:
```
16
Lattice="0.0000 6.9012 12.1605 2.9448 0.0000 12.1605 2.9448 6.9012 0.0000" Properties=species:S:1:pos:R:3 pbc="T T T"
Rb 2.2086 5.1759 1.2687
Rb 3.6810 8.6264 7.3489
Rb 2.2086 5.1759 16.9721
Rb 3.6810 8.6264 23.0523
Li 0.7362 1.7253 3.0401
Li 5.1534 12.0770 21.2809
Ta 2.2086 5.1759 9.1204
Ta 3.6810 8.6264 15.2006
S 2.3175 3.0519 4.3116
S 3.5721 6.5024 10.3918
S 2.0997 7.2999 4.3116
S 2.0997 3.0519 13.9292
S 3.7899 10.7504 10.3918
S 3.7899 6.5024 20.0094
S 2.3175 7.2999 13.9292
S 3.5721 10.7504 20.0094
```

Peak list (10 most intense, 15 to 90 degrees two-theta, by intensity)
2theta	I (rel.)
26.9	100.0
19.7	83.3
25.5	59.1
37.8	30.7
33.1	27.7
16.8	27.0
46.3	21.1
37.2	21.1
37.7	20.8
50.3	18.7


[4]
Structure and computed powder diffractogram of RbLiTb2S4 (a crystal structure in Alexandria, relaxed with GGA-PBE; Cu Ka).
Lines closer than 0.1° are merged.

Structure:
```
16
Lattice="2.0344 -6.8459 0.0000 2.0344 6.8459 0.0000 0.0000 0.0000 14.0658" Properties=species:S:1:pos:R:3 pbc="T T T"
Rb 2.0344 5.3956 10.5493
Rb 2.0344 -5.3956 3.5164
Li 2.0344 4.5117 3.5164
Li 2.0344 -4.5117 10.5493
Tb 2.0344 1.8361 7.8848
Tb 2.0344 1.8361 13.2138
Tb 2.0344 -1.8361 0.8519
Tb 2.0344 -1.8361 6.1809
S 0.0000 0.0000 0.0000
S 0.0000 0.0000 7.0329
S 2.0344 3.2896 1.4810
S 2.0344 3.2896 5.5519
S 2.0344 1.1186 10.5493
S 2.0344 -1.1186 3.5164
S 2.0344 -3.2896 8.5139
S 2.0344 -3.2896 12.5848
```

Peak list (10 most intense, 15 to 90 degrees two-theta, by intensity)
2theta	I (rel.)
23.0	100.0
26.1	65.7
32.1	56.6
30.1	47.1
39.5	40.7
29.4	34.7
44.3	32.3
43.9	25.2
50.7	24.4
44.5	23.1


[5]
Structure and computed powder diffractogram of RbLiTe2S4 (a crystal structure in Alexandria, relaxed with GGA-PBE; Cu Ka).
Lines closer than 0.1° are merged.

Structure:
```
8
Lattice="-3.4323 3.4369 4.7969 3.4323 -3.4369 4.7969 3.4323 3.4369 -4.7969" Properties=species:S:1:pos:R:3 pbc="T T T"
Rb 0.0000 0.0000 0.0000
Li 0.0000 0.0000 4.7969
Te 3.4323 0.0000 2.3888
Te 0.0000 3.4369 2.4081
S 1.4308 -1.4210 3.2912
S 2.0015 2.0159 1.5057
S 2.0015 4.8578 -1.5057
S 1.4308 1.4210 6.3026
```

Peak list (10 most intense, 15 to 90 degrees two-theta, by intensity)
2theta	I (rel.)
26.1	100.0
45.9	43.0
37.0	29.6
46.2	28.4
18.5	20.4
18.3	19.7
25.9	19.4
30.6	13.4
73.2	11.8
15.9	9.2


[6]
Structure and computed powder diffractogram of Rb2LiU2S6 (a crystal structure in Alexandria, relaxed with GGA-PBE; Cu Ka).
Lines closer than 0.1° are merged.

Structure:
```
11
Lattice="3.4435 -6.0558 0.0000 3.4435 6.0558 0.0000 -2.1181 0.0000 7.7878" Properties=species:S:1:pos:R:3 pbc="T T T"
Rb 3.4435 4.1405 0.0000
Rb 3.4435 -4.1405 0.0000
Li -1.0591 0.0000 3.8939
U 2.3844 2.0007 3.8939
U 2.3844 -2.0007 3.8939
S 0.1487 2.1617 5.3277
S 1.3179 0.0000 2.4880
S 0.1487 -2.1617 5.3277
S 4.6201 2.1617 2.4601
S 3.4509 0.0000 5.2997
S 4.6201 -2.1617 2.4601
```

Peak list (10 most intense, 15 to 90 degrees two-theta, by intensity)
2theta	I (rel.)
29.7	100.0
16.8	67.0
26.8	57.3
30.4	50.2
21.0	36.8
22.8	36.0
40.5	35.0
45.5	32.6
46.5	23.3
51.0	21.2


[7]
Structure and computed powder diffractogram of Rb5LiSb2 (a crystal structure in Alexandria, relaxed with GGA-PBE; Cu Ka).
Lines closer than 0.1° are merged.

Structure:
```
16
Lattice="6.3833 0.0000 0.0000 -3.1917 5.5281 0.0000 0.0000 0.0000 21.2955" Properties=species:S:1:pos:R:3 pbc="T T T"
Rb 0.0000 0.0000 2.9424
Rb 0.0000 0.0000 7.7054
Rb 0.0000 0.0000 13.5902
Rb 0.0000 0.0000 18.3532
Rb 0.0000 3.6854 1.0784
Rb 0.0000 3.6854 5.3239
Rb 0.0000 3.6854 9.5693
Rb 3.1917 1.8427 11.7262
Rb 3.1917 1.8427 15.9717
Rb 3.1917 1.8427 20.2171
Li 0.0000 3.6854 15.9717
Li 3.1917 1.8427 5.3239
Sb 0.0000 3.6854 13.3166
Sb 0.0000 3.6854 18.6267
Sb 3.1917 1.8427 2.6688
Sb 3.1917 1.8427 7.9789
```

Peak list (10 most intense, 15 to 90 degrees two-theta, by intensity)
2theta	I (rel.)
28.0	100.0
26.4	68.4
48.5	25.2
38.8	24.2
49.5	20.1
32.7	20.0
16.6	18.8
44.3	17.5
33.6	14.7
51.6	13.8


[8]
Structure and computed powder diffractogram of RbLiSbTe (a crystal structure in Alexandria, relaxed with GGA-PBE; Cu Ka).
Lines closer than 0.1° are merged.

Structure:
```
8
Lattice="4.3527 0.0000 0.0000 0.0000 4.3527 0.0000 0.0000 0.0000 14.4272" Properties=species:S:1:pos:R:3 pbc="T T T"
Rb 1.0882 1.0882 3.5285
Rb 3.2645 3.2645 10.8986
Li 1.0882 3.2645 7.2136
Li 3.2645 1.0882 7.2136
Sb 1.0882 3.2645 0.0000
Sb 3.2645 1.0882 0.0000
Te 1.0882 1.0882 8.9461
Te 3.2645 3.2645 5.4811
```

Peak list (10 most intense, 15 to 90 degrees two-theta, by intensity)
2theta	I (rel.)
29.7	100.0
27.6	96.4
31.6	86.5
23.9	70.8
18.4	67.4
41.5	54.7
50.6	50.0
48.0	34.3
37.4	32.7
38.4	32.1


[9]
Structure and computed powder diffractogram of RbLiTlSb (a crystal structure in Alexandria, relaxed with GGA-PBE; Cu Ka).
Lines closer than 0.1° are merged.

Structure:
```
4
Lattice="4.1639 -2.4057 0.0000 4.1639 2.4057 0.0000 -2.7816 0.0000 7.0122" Properties=species:S:1:pos:R:3 pbc="T T T"
Rb 0.0000 0.0000 0.0000
Li -0.0027 0.0000 4.2635
Tl 5.5477 0.0000 2.6713
Sb 2.7725 0.0000 4.3998
```

Peak list (10 most intense, 15 to 90 degrees two-theta, by intensity)
2theta	I (rel.)
27.3	100.0
21.8	62.4
37.4	55.3
30.2	52.8
61.5	25.1
46.9	23.0
54.8	20.8
40.6	20.2
48.8	14.0
39.6	13.4


[10]
Structure and computed powder diffractogram of RbLiSe (a crystal structure in Alexandria, relaxed with GGA-PBE; Cu Ka).
Lines closer than 0.1° are merged.

Structure:
```
6
Lattice="3.3102 -3.3100 0.0000 3.3102 3.3100 0.0000 -3.2848 0.0000 7.9690" Properties=species:S:1:pos:R:3 pbc="T T T"
Rb 0.0155 0.0000 1.5756
Rb 3.3201 0.0000 6.3934
Li 0.0165 0.0031 5.3684
Li 3.3191 0.0031 2.6006
Se 1.6678 1.6580 3.9845
Se 3.3102 -0.0041 0.0000
```

Peak list (10 most intense, 15 to 90 degrees two-theta, by intensity)
2theta	I (rel.)
34.0	100.0
29.2	92.4
25.4	61.8
38.5	57.6
19.8	51.9
26.9	43.4
52.3	28.6
55.5	22.8
35.2	19.4
64.0	19.0


[11]
Structure and computed powder diffractogram of RbLiThSe3 (a crystal structure in Alexandria, relaxed with GGA-PBE; Cu Ka).
Lines closer than 0.1° are merged.

Structure:
```
12
Lattice="9.5023 0.0000 0.0000 0.0000 4.3783 0.0000 -2.8382 0.0000 9.3750" Properties=species:S:1:pos:R:3 pbc="T T T"
Rb 1.2157 1.0946 2.3696
Rb 5.4484 3.2837 7.0055
Li -0.9253 1.0946 5.5591
Li 7.5894 3.2837 3.8159
Th 0.6628 3.2837 7.8711
Th 6.0013 1.0946 1.5040
Se -1.2368 1.0946 8.1378
Se 0.3466 3.2837 5.0615
Se 3.9794 3.2837 1.4648
Se 2.6847 1.0946 7.9102
Se 6.3175 1.0946 4.3135
Se 7.9009 3.2837 1.2372
```

Peak list (10 most intense, 15 to 90 degrees two-theta, by intensity)
2theta	I (rel.)
28.0	100.0
28.6	36.5
28.3	36.2
41.2	28.5
37.4	23.5
45.1	23.1
43.2	22.4
19.5	22.3
23.7	21.2
22.4	20.8


[12]
Structure and computed powder diffractogram of Rb3LiZr3Se8 (a crystal structure in Alexandria, relaxed with GGA-PBE; Cu Ka).
Lines closer than 0.1° are merged.

Structure:
```
15
Lattice="3.9774 2.2963 8.0674 -3.9774 2.2963 8.0674 0.0000 -4.5927 8.0674" Properties=species:S:1:pos:R:3 pbc="T T T"
Rb -1.9887 -1.1482 8.0674
Rb -1.9887 1.1482 16.1348
Rb 0.0000 2.2963 8.0674
Li 0.0000 0.0000 12.1011
Zr -3.9774 0.0000 12.1011
Zr -1.9887 1.1482 4.0337
Zr 1.9887 1.1482 4.0337
Se -2.0683 -1.1942 13.5918
Se 0.0000 0.0000 5.5893
Se 0.0000 -2.3883 10.6104
Se -2.0684 1.1942 10.6104
Se 2.0684 -1.1942 13.5918
Se 0.0000 2.3883 13.5918
Se 0.0000 0.0000 18.6128
Se 2.0684 1.1942 10.6104
```

Peak list (10 most intense, 15 to 90 degrees two-theta, by intensity)
2theta	I (rel.)
29.8	100.0
45.6	34.9
39.7	27.9
55.5	16.5
74.6	13.9
36.8	13.3
31.9	9.3
49.1	8.7
19.5	8.2
87.6	7.8


Q: Which formula does entry 5 have?
A: RbLiTe2S4


Please write out number 4 again, unchanged.
Structure and computed powder diffractogram of RbLiTb2S4 (a crystal structure in Alexandria, relaxed with GGA-PBE; Cu Ka).
Lines closer than 0.1° are merged.

Structure:
```
16
Lattice="2.0344 -6.8459 0.0000 2.0344 6.8459 0.0000 0.0000 0.0000 14.0658" Properties=species:S:1:pos:R:3 pbc="T T T"
Rb 2.0344 5.3956 10.5493
Rb 2.0344 -5.3956 3.5164
Li 2.0344 4.5117 3.5164
Li 2.0344 -4.5117 10.5493
Tb 2.0344 1.8361 7.8848
Tb 2.0344 1.8361 13.2138
Tb 2.0344 -1.8361 0.8519
Tb 2.0344 -1.8361 6.1809
S 0.0000 0.0000 0.0000
S 0.0000 0.0000 7.0329
S 2.0344 3.2896 1.4810
S 2.0344 3.2896 5.5519
S 2.0344 1.1186 10.5493
S 2.0344 -1.1186 3.5164
S 2.0344 -3.2896 8.5139
S 2.0344 -3.2896 12.5848
```

Peak list (10 most intense, 15 to 90 degrees two-theta, by intensity)
2theta	I (rel.)
23.0	100.0
26.1	65.7
32.1	56.6
30.1	47.1
39.5	40.7
29.4	34.7
44.3	32.3
43.9	25.2
50.7	24.4
44.5	23.1


Please write out number 3 again, unchanged.
Structure and computed powder diffractogram of Rb2LiTaS4 (a crystal structure in Alexandria, relaxed with GGA-PBE; Cu Ka).
Lines closer than 0.1° are merged.

Structure:
```
16
Lattice="0.0000 6.9012 12.1605 2.9448 0.0000 12.1605 2.9448 6.9012 0.0000" Properties=species:S:1:pos:R:3 pbc="T T T"
Rb 2.2086 5.1759 1.2687
Rb 3.6810 8.6264 7.3489
Rb 2.2086 5.1759 16.9721
Rb 3.6810 8.6264 23.0523
Li 0.7362 1.7253 3.0401
Li 5.1534 12.0770 21.2809
Ta 2.2086 5.1759 9.1204
Ta 3.6810 8.6264 15.2006
S 2.3175 3.0519 4.3116
S 3.5721 6.5024 10.3918
S 2.0997 7.2999 4.3116
S 2.0997 3.0519 13.9292
S 3.7899 10.7504 10.3918
S 3.7899 6.5024 20.0094
S 2.3175 7.2999 13.9292
S 3.5721 10.7504 20.0094
```

Peak list (10 most intense, 15 to 90 degrees two-theta, by intensity)
2theta	I (rel.)
26.9	100.0
19.7	83.3
25.5	59.1
37.8	30.7
33.1	27.7
16.8	27.0
46.3	21.1
37.2	21.1
37.7	20.8
50.3	18.7